Starting from the GGA-PBE geometry in Alexandria, the XRD peak list of AsAuF6 was calculated for Cu Kα (weighted mean of Kα1 and Kα2).

Most intense lines, 10 to 90 degrees two-theta, low angle first:
| Position (°2θ) | I_rel | (hkl) |
| --- | --- | --- |
| 17.6 | 53 | 1 1 0 |
| 20.2 | 100 | 1 1 1 |
| 25.7 | 21 | 1 1 -2 |
| 26.3 | 60 | 2 0 -2 |
| 27.5 | 48 | 2 0 2 |
| 31.6 | 19 | 0 2 1 |
| 33.3 | 20 | 3 1 -1 |
| 36.8 | 24 | 2 2 -1 |

Crystal structure
Cell: 9.4292 5.9482 9.3623 Å, 90.00 92.48 90.00°
Space group C2/c (No. 15)
Symmetry-distinct sites (fractional):
As  0.2500  0.2500  0.0000
Au  0.0000  0.1151  0.2500
F  0.1209  0.2509  0.8570
F  0.1301  0.3966  0.1097
F  0.1816  0.0104  0.5613